# 1
Calculated PXRD pattern of Zn2Cu3Pt6 for CuKα, from a PBE-relaxed structure.

Main lines, by angle (2θ from 15° to 90°):
hkl  2θ (°)  I_rel
-1 1 1  21.64  100
1 1 -2  35.24  25
1 -1 2  36.41  27
2 0 -1  38.30  46
0 0 3  40.55  74
2 0 0  42.00  90
1 1 1  42.55  19
-2 2 2  44.11  48
2 -2 1  44.89  82
2 0 -3  44.97  37
-4 2 2  70.55  27
2 0 3  72.65  18

Atomic structure:
a = 5.346 Å, b = 5.346 Å, c = 7.329 Å
α = 92.50°, β = 110.03°, γ = 117.96°
Atoms (fractional coordinates):
Zn  0.000  0.000  0.000
Zn  0.075  0.752  0.365
Cu  0.494  0.498  0.001
Cu  0.578  0.268  0.353
Cu  0.633  0.060  0.681
Pt  0.006  0.509  0.017
Pt  0.073  0.259  0.345
Pt  0.127  0.048  0.677
Pt  0.504  0.001  0.013
Pt  0.572  0.766  0.346
Pt  0.623  0.548  0.677

***

# 2
Calculated PXRD pattern of Pr4Sm4Er3 for CuKα, from a PBE-relaxed structure.

Main lines, by angle (2θ from 15° to 90°):
hkl  2θ (°)  I_rel
1 0 4  30.40  28
-1 1 2  31.12  62
0 2 1  31.30  100
1 -2 3  44.16  20
1 0 -7  45.31  12
2 0 1  51.15  9
1 -1 9  54.73  9
-1 3 3  55.54  12
0 3 7  55.67  13
-1 2 8  56.07  13
2 2 2  61.20  30
2 3 8  78.98  10

Atomic structure:
a = 3.571 Å, b = 5.724 Å, c = 18.431 Å
α = 81.14°, β = 84.45°, γ = 89.99°
Atoms (fractional coordinates):
Pr  0.046  0.048  0.408
Pr  0.179  0.680  0.141
Pr  0.821  0.320  0.859
Pr  0.954  0.952  0.592
Sm  0.090  0.592  0.319
Sm  0.233  0.233  0.035
Sm  0.767  0.767  0.965
Sm  0.910  0.408  0.681
Er  0.365  0.863  0.772
Er  0.500  0.500  0.500
Er  0.635  0.137  0.228